This entry pairs a crystal structure of Cu2IO3 with its theoretical powder X-ray diffraction pattern. Radiation: Cu Kα (λ = 1.5418 Å). Structure: the GGA-PBE geometry in Alexandria.
Neutral-atom scattering factors, no anomalous dispersion.

Most intense lines, 10 to 80 degrees two-theta, sorted by position:
- (1 1 0), 2θ = 22.39°, I = 83
- (1 1 -1), 2θ = 23.64°, I = 95
- (0 0 2), 2θ = 29.02°, I = 100
- (1 1 1), 2θ = 29.50°, I = 34
- (2 0 -1), 2θ = 31.01°, I = 68
- (1 1 -2), 2θ = 32.35°, I = 30
- (0 2 1), 2θ = 34.49°, I = 40
- (1 2 -1), 2θ = 36.12°, I = 25
- (2 0 1), 2θ = 40.03°, I = 43
- (1 2 -2), 2θ = 42.57°, I = 31
- (2 0 -3), 2θ = 45.76°, I = 27
- (0 4 0), 2θ = 65.00°, I = 25

Cell and atoms:
Unit cell a=5.8148 b=5.7382 c=6.5085 alpha=90.00 beta=108.98 gamma=90.00
Space group P2_1/m (No. 11)
Inequivalent atoms, fractional coordinates:
Cu 0.0000 0.0000 0.0000
Cu 0.4972 0.2500 0.9940
I 0.2615 0.7500 0.4992
O 0.0020 0.7500 0.2033
O 0.3411 0.0025 0.0866